Entry 1:
This entry pairs a crystal structure of La5Ir2 with its theoretical X-ray powder pattern. Radiation: Cu Kα (weighted mean of Kα1 and Kα2). Structure: a PBE-relaxed structure.
Intensities are scaled so that the largest is 100.

Main lines, in order of falling intensity (10° ≤ 2θ ≤ 90°):
d = 2.935 Å, 2θ = 30.45°, I 100
d = 2.644 Å, 2θ = 33.91°, I 100
d = 4.688 Å, 2θ = 18.93°, I 92
d = 3.036 Å, 2θ = 29.42°, I 76
d = 2.714 Å, 2θ = 33.01°, I 73
d = 2.849 Å, 2θ = 31.40°, I 64
d = 2.320 Å, 2θ = 38.81°, I 58
d = 2.698 Å, 2θ = 33.21°, I 55
d = 2.376 Å, 2θ = 37.87°, I 48
d = 3.075 Å, 2θ = 29.04°, I 42

Structural model:
```
La5Ir2
1.0
8.5453 -3.3836 0.0000
8.5453 3.3836 0.0000
-0.8243 0.0000 7.3675
La Ir
10 4
Direct
0.0718 0.9282 0.7500
0.1457 0.2859 0.3199
0.2859 0.1457 0.8199
0.3044 0.5104 0.0840
0.4896 0.6956 0.4160
0.5104 0.3044 0.5840
0.6956 0.4896 0.9160
0.7141 0.8543 0.1801
0.8543 0.7141 0.6801
0.9282 0.0718 0.2500
0.0927 0.6840 0.4196
0.3160 0.9073 0.0804
0.6840 0.0927 0.9196
0.9073 0.3160 0.5804
```

Entry 2:
This entry pairs a crystal structure of La3Ir with its theoretical X-ray powder pattern. Radiation: Cu Kα (weighted mean of Kα1 and Kα2). Structure: a PBE-relaxed structure.
Intensities are scaled so that the largest is 100.

Main lines, in order of falling intensity (10° ≤ 2θ ≤ 90°):
d = 2.906 Å, 2θ = 30.77°, I 100
d = 2.731 Å, 2θ = 32.79°, I 77
d = 2.793 Å, 2θ = 32.04°, I 76
d = 2.500 Å, 2θ = 35.92°, I 52
d = 3.015 Å, 2θ = 29.63°, I 51
d = 2.603 Å, 2θ = 34.45°, I 39
d = 2.996 Å, 2θ = 29.82°, I 38
d = 2.260 Å, 2θ = 39.89°, I 35
d = 3.087 Å, 2θ = 28.92°, I 35
d = 2.319 Å, 2θ = 38.83°, I 34

Structural model:
```
La3Ir
1.0
7.4242 0.0000 0.0000
0.0000 10.1474 0.0000
0.0000 0.0000 6.6463
La Ir
12 4
Direct
0.0397 0.2500 0.1475
0.1719 0.0676 0.6700
0.1719 0.4324 0.6700
0.3281 0.5676 0.1700
0.3281 0.9324 0.1700
0.4603 0.7500 0.6475
0.5397 0.2500 0.3525
0.6719 0.0676 0.8300
0.6719 0.4324 0.8300
0.8281 0.5676 0.3300
0.8281 0.9324 0.3300
0.9603 0.7500 0.8525
0.1221 0.7500 0.4337
0.3779 0.2500 0.9337
0.6221 0.7500 0.0663
0.8779 0.2500 0.5663
```

Entry 3:
This entry pairs a crystal structure of LaMgIr with its theoretical X-ray powder pattern. Radiation: Cu Kα (weighted mean of Kα1 and Kα2). Structure: a PBE-relaxed structure.
Intensities are scaled so that the largest is 100.

Main lines, in order of falling intensity (10° ≤ 2θ ≤ 90°):
d = 2.520 Å, 2θ = 35.62°, I 100
d = 2.165 Å, 2θ = 41.72°, I 60
d = 2.649 Å, 2θ = 33.84°, I 59
d = 2.113 Å, 2θ = 42.80°, I 38
d = 3.702 Å, 2θ = 24.04°, I 34
d = 3.770 Å, 2θ = 23.60°, I 32
d = 3.387 Å, 2θ = 26.31°, I 30
d = 2.785 Å, 2θ = 32.14°, I 28
d = 3.092 Å, 2θ = 28.87°, I 26
d = 1.512 Å, 2θ = 61.33°, I 24

Structural model:
```
LaMgIr
1.0
7.5408 0.0000 0.0000
0.0000 4.2254 0.0000
0.0000 0.0000 16.9987
La Mg Ir
8 8 8
Direct
0.0430 0.2500 0.2172
0.1616 0.2500 0.4383
0.3384 0.7500 0.9383
0.4570 0.7500 0.7172
0.5430 0.2500 0.2828
0.6616 0.2500 0.0617
0.8384 0.7500 0.5617
0.9570 0.7500 0.7828
0.0029 0.7500 0.0630
0.1333 0.2500 0.6496
0.3667 0.7500 0.1496
0.4971 0.2500 0.5630
0.5029 0.7500 0.4370
0.6333 0.2500 0.8504
0.8667 0.7500 0.3504
0.9971 0.2500 0.9370
0.2443 0.2500 0.0622
0.2453 0.7500 0.3119
0.2547 0.2500 0.8119
0.2557 0.7500 0.5622
0.7443 0.2500 0.4378
0.7453 0.7500 0.1881
0.7547 0.2500 0.6881
0.7557 0.7500 0.9378
```